[1]
This entry pairs a crystal structure of Cr3Au with its calculated PXRD pattern. Radiation: Cu Kα (λ = 1.5418 Å). Structure: the GGA-PBE geometry in Alexandria.
Peak positions follow from Bragg's law for the DFT cell and can differ from measured ones.

Peak list (8 most intense, 2θ from 15° to 90°, in order of rising 2θ)
Position (°2θ)  I/Imax  h k l
21.54  24  0 0 2
32.55  16  0 0 3
36.91  38  1 0 0
38.55  35  1 0 1
43.14  100  1 0 2
43.88  17  0 0 4
58.65  21  1 0 4
66.51  17  1 1 0

Structure:
```
data_Cr3Au
_symmetry_space_group_name_H-M 'P 1'
_symmetry_Int_Tables_number 1
_cell_length_a 2.8118
_cell_length_b 2.8118
_cell_length_c 8.2528
_cell_angle_alpha 90.00
_cell_angle_beta 90.00
_cell_angle_gamma 120.00
loop_
_symmetry_equiv_pos_as_xyz
'x,y,z'
loop_
_atom_site_label
_atom_site_type_symbol
_atom_site_fract_x
_atom_site_fract_y
_atom_site_fract_z
_atom_site_occupancy
Cr1 Cr 0.0000 0.0000 0.0000 1
Cr2 Cr 0.3333 0.6667 0.2161 1
Cr3 Cr 0.3333 0.6667 0.7839 1
Au1 Au 0.0000 0.0000 0.5000 1
```

[2]
This entry pairs a crystal structure of Na7Cd2 with its calculated PXRD pattern. Radiation: Cu Kα (λ = 1.5418 Å). Structure: the GGA-PBE geometry in Alexandria.
Peak positions follow from Bragg's law for the DFT cell and can differ from measured ones.

Peak list (8 most intense, 2θ from 15° to 90°, in order of rising 2θ)
Position (°2θ)  I/Imax  h k l
16.71  22  1 0 0
19.66  25  1 0 1
29.15  20  1 1 0
30.99  100  1 1 1
31.23  27  0 0 3
36.01  70  2 -1 2
51.99  20  1 1 4
61.63  21  3 0 3

Structure:
```
data_Na7Cd2
_symmetry_space_group_name_H-M 'P 1'
_symmetry_Int_Tables_number 1
_cell_length_a 6.1273
_cell_length_b 6.1273
_cell_length_c 8.5923
_cell_angle_alpha 90.00
_cell_angle_beta 90.00
_cell_angle_gamma 120.00
loop_
_symmetry_equiv_pos_as_xyz
'x,y,z'
loop_
_atom_site_label
_atom_site_type_symbol
_atom_site_fract_x
_atom_site_fract_y
_atom_site_fract_z
_atom_site_occupancy
Na1 Na 0.0000 0.0000 0.0000 1
Na2 Na 0.0000 0.3438 0.6812 1
Na3 Na 0.0000 0.6562 0.3188 1
Na4 Na 0.3438 0.0000 0.6812 1
Na5 Na 0.3438 0.3438 0.3188 1
Na6 Na 0.6562 0.0000 0.3188 1
Na7 Na 0.6562 0.6562 0.6812 1
Cd1 Cd 0.3333 0.6667 0.0000 1
Cd2 Cd 0.6667 0.3333 0.0000 1
```

[3]
This entry pairs a crystal structure of NaAc2IO8 with its calculated PXRD pattern. Radiation: Cu Kα (λ = 1.5418 Å). Structure: the GGA-PBE geometry in Alexandria.
Peak positions follow from Bragg's law for the DFT cell and can differ from measured ones.

Peak list (8 most intense, 2θ from 15° to 90°, in order of rising 2θ)
Position (°2θ)  I/Imax  h k l
16.34  73  0 1 0
20.81  56  1 0 1
25.83  77  1 1 0
25.91  56  1 -1 0
27.83  74  1 0 2
29.60  100  0 1 2
30.68  78  -1 1 1
33.02  56  0 2 0

Structure:
```
data_NaAc2IO8
_symmetry_space_group_name_H-M 'P 1'
_symmetry_Int_Tables_number 1
_cell_length_a 4.5815
_cell_length_b 5.4249
_cell_length_c 7.4713
_cell_angle_alpha 89.83
_cell_angle_beta 76.49
_cell_angle_gamma 89.83
loop_
_symmetry_equiv_pos_as_xyz
'x,y,z'
loop_
_atom_site_label
_atom_site_type_symbol
_atom_site_fract_x
_atom_site_fract_y
_atom_site_fract_z
_atom_site_occupancy
Na1 Na 0.0000 0.0000 0.0000 1
Ac1 Ac 0.3767 0.4999 0.2829 1
Ac2 Ac 0.6233 0.5001 0.7171 1
I1 I 0.0000 0.0000 0.5000 1
O1 O 0.1639 0.5059 0.9962 1
O2 O 0.1909 0.2587 0.6010 1
O3 O 0.1919 0.7390 0.5997 1
O4 O 0.2960 0.0015 0.2713 1
O5 O 0.7040 0.9985 0.7287 1
O6 O 0.8081 0.2610 0.4003 1
O7 O 0.8091 0.7413 0.3990 1
O8 O 0.8361 0.4941 0.0038 1
```